(1)
Diffraction record for PrNpPt10. The X-ray diffraction stick pattern is simulated, not measured: it uses a crystal structure in Alexandria, relaxed with PBE and Cu Kα (weighted mean of Kα1 and Kα2).
Neutral-atom scattering factors, no anomalous dispersion.

Most intense lines, 2θ = 10–90°, in order of falling intensity:
two_theta	I_rel
39.05	100
43.76	42
40.60	34
38.52	29
18.99	20
33.20	19
57.20	19
83.93	17
72.83	17
63.20	17
27.70	15
69.73	14

Structure:
```
data_PrNpPt10
_chemical_formula_sum 'Pr1 Np1 Pt10'
_cell_length_a 4.444
_cell_length_b 5.404
_cell_length_c 9.338
_cell_angle_alpha 90.00
_cell_angle_beta 90.00
_cell_angle_gamma 90.00
_space_group_name_H-M_alt 'P m m m'
_space_group_IT_number 47
loop_
_space_group_symop_operation_xyz
'x,y,z'
'-x,-y,-z'
'-x,-y,z'
'x,y,-z'
'x,-y,-z'
'-x,y,z'
'-x,y,-z'
'x,-y,z'
loop_
_atom_site_label
_atom_site_type_symbol
_atom_site_fract_x
_atom_site_fract_y
_atom_site_fract_z
Pr1 Pr 0.000 0.000 0.000
Np1 Np 0.000 0.500 0.500
Pt1 Pt 0.000 0.000 0.337
Pt2 Pt 0.000 0.500 0.171
Pt3 Pt 0.500 0.000 0.500
Pt4 Pt 0.500 0.252 0.252
Pt5 Pt 0.500 0.500 0.000
```

---

(2)
Diffraction record for Ac2La5PrY. The X-ray diffraction stick pattern is simulated, not measured: it uses a crystal structure in Alexandria, relaxed with PBE and Cu Kα (weighted mean of Kα1 and Kα2).
Neutral-atom scattering factors, no anomalous dispersion.

Most intense lines, 2θ = 10–90°, in order of falling intensity:
two_theta	I_rel
27.16	100
29.36	54
35.29	32
30.45	22
40.45	19
60.98	17
55.35	15
45.03	14
43.59	14
53.38	13
49.39	13
22.09	12

Structure:
```
data_Ac2La5PrY
_chemical_formula_sum 'Ac8 La20 Pr4 Y4'
_cell_length_a 9.282
_cell_length_b 9.282
_cell_length_c 16.118
_cell_angle_alpha 90.00
_cell_angle_beta 90.00
_cell_angle_gamma 90.00
_space_group_name_H-M_alt 'I 4/m c m'
_space_group_IT_number 140
_space_group_name_Hall '-I 4 2c'
loop_
_atom_site_label
_atom_site_type_symbol
_atom_site_fract_x
_atom_site_fract_y
_atom_site_fract_z
Ac1 Ac 0.126 0.374 0.000
La1 La 0.000 0.000 0.000
La2 La 0.205 0.295 0.353
Pr1 Pr 0.000 0.000 0.250
Y1 Y 0.000 0.500 0.250
```

---

(3)
Diffraction record for LiCu4P3O12. The X-ray diffraction stick pattern is simulated, not measured: it uses a crystal structure in Alexandria, relaxed with PBE and Cu Kα (weighted mean of Kα1 and Kα2).
Neutral-atom scattering factors, no anomalous dispersion.

Most intense lines, 2θ = 10–90°, in order of falling intensity:
two_theta	I_rel
29.27	100
11.70	91
15.36	84
33.86	60
35.93	60
36.77	51
29.62	46
32.30	32
25.18	27
54.27	24
55.93	24
48.15	21

Structure:
```
data_LiCu4P3O12
_chemical_formula_sum 'Li4 Cu16 P12 O48'
_cell_length_a 6.242
_cell_length_b 15.124
_cell_length_c 10.003
_cell_angle_alpha 90.00
_cell_angle_beta 90.00
_cell_angle_gamma 90.00
_space_group_name_H-M_alt 'C m c 21'
_space_group_IT_number 36
loop_
_space_group_symop_operation_xyz
'x,y,z'
'-x,-y,z+1/2'
'-x,y,z'
'x,-y,z+1/2'
'x+1/2,y+1/2,z'
'-x+1/2,-y+1/2,z+1/2'
'-x+1/2,y+1/2,z'
'x+1/2,-y+1/2,z+1/2'
loop_
_atom_site_label
_atom_site_type_symbol
_atom_site_fract_x
_atom_site_fract_y
_atom_site_fract_z
Li1 Li 0.000 0.007 0.000
Cu1 Cu 0.000 0.368 0.767
Cu2 Cu 0.000 0.379 0.378
Cu3 Cu 0.246 0.302 0.065
P1 P 0.000 0.176 0.850
P2 P 0.000 0.188 0.287
P3 P 0.000 0.482 0.104
O1 O 0.000 0.201 0.697
O2 O 0.000 0.220 0.438
O3 O 0.000 0.270 0.925
O4 O 0.000 0.278 0.203
O5 O 0.000 0.417 0.570
O6 O 0.000 0.486 0.260
O7 O 0.192 0.121 0.892
O8 O 0.197 0.133 0.255
O9 O 0.207 0.439 0.048
```